# Ba2BiWO6
Calculated PXRD pattern, CuKα. Input: a cell relaxed with PBE+U.
Lines closer than 0.1° are merged.

Most intense lines, 2θ from 15° to 90°, low angle first:
- 2θ 20.48, I = 7
- 2θ 29.13, I = 100
- 2θ 41.66, I = 27
- 2θ 46.85, I = 3
- 2θ 51.64, I = 43
- 2θ 60.38, I = 17
- 2θ 64.47, I = 2
- 2θ 68.42, I = 19
- 2θ 76.04, I = 6
- 2θ 79.74, I = 1
- 2θ 83.41, I = 23

Structure:
```
Ba2BiWO6
1.0
8.672 0.000 0.000
0.000 8.672 0.000
0.000 0.000 8.672
Ba Bi W O
8 4 4 24
Direct
0.250 0.250 0.250
0.250 0.250 0.750
0.250 0.750 0.250
0.250 0.750 0.750
0.750 0.250 0.250
0.750 0.250 0.750
0.750 0.750 0.250
0.750 0.750 0.750
0.000 0.000 0.000
0.000 0.500 0.500
0.500 0.000 0.500
0.500 0.500 0.000
0.000 0.000 0.500
0.000 0.500 0.000
0.500 0.000 0.000
0.500 0.500 0.500
0.024 0.231 0.525
0.024 0.269 0.975
0.025 0.524 0.769
0.025 0.976 0.731
0.231 0.525 0.024
0.231 0.975 0.476
0.269 0.525 0.476
0.269 0.975 0.024
0.475 0.524 0.731
0.475 0.976 0.769
0.476 0.231 0.975
0.476 0.269 0.525
0.524 0.731 0.475
0.524 0.769 0.025
0.525 0.024 0.231
0.525 0.476 0.269
0.731 0.025 0.976
0.731 0.475 0.524
0.769 0.025 0.524
0.769 0.475 0.976
0.975 0.024 0.269
0.975 0.476 0.231
0.976 0.731 0.025
0.976 0.769 0.475
```

***

# Ba2BiWO6
Calculated PXRD pattern, CuKα. Input: a cell relaxed with PBE+U.
Lines closer than 0.1° are merged.

Most intense lines, 2θ from 15° to 90°, low angle first:
- 2θ 20.46, I = 8
- 2θ 29.10, I = 100
- 2θ 41.62, I = 28
- 2θ 46.81, I = 4
- 2θ 51.58, I = 42
- 2θ 60.32, I = 18
- 2θ 64.40, I = 2
- 2θ 68.35, I = 19
- 2θ 75.95, I = 6
- 2θ 79.65, I = 1
- 2θ 83.31, I = 23

Structure:
```
Ba2BiWO6
1.0
0.000 4.340 4.340
4.340 0.000 4.340
4.340 4.340 0.000
Ba Bi W O
2 1 1 6
Direct
0.250 0.250 0.250
0.750 0.750 0.750
0.000 0.000 0.000
0.500 0.500 0.500
0.269 0.269 0.731
0.269 0.731 0.269
0.269 0.731 0.731
0.731 0.269 0.269
0.731 0.269 0.731
0.731 0.731 0.269
```

***

# Ba6Fe3Si8C2Cl3O30
Calculated PXRD pattern, CuKα. Input: a cell relaxed with PBE+U.
Lines closer than 0.1° are merged.

Most intense lines, 2θ from 15° to 90°, low angle first:
- 2θ 22.54, I = 100
- 2θ 27.95, I = 39
- 2θ 31.07, I = 20
- 2θ 31.19, I = 82
- 2θ 32.97, I = 81
- 2θ 40.31, I = 40
- 2θ 41.57, I = 42
- 2θ 42.11, I = 30
- 2θ 53.02, I = 28
- 2θ 57.76, I = 23
- 2θ 61.60, I = 24
- 2θ 65.18, I = 22

Structure:
```
Ba6Fe3Si8C2Cl3O30
1.0
10.868 0.000 0.000
-5.434 9.412 0.000
0.000 0.000 7.233
Ba Fe Si C Cl O
6 3 8 2 3 30
Direct
0.009 0.505 0.000
0.179 0.358 0.477
0.179 0.821 0.477
0.495 0.505 0.000
0.495 0.991 0.000
0.642 0.821 0.477
0.103 0.206 0.979
0.103 0.897 0.979
0.794 0.897 0.979
0.330 0.165 0.251
0.330 0.165 0.707
0.667 0.333 0.259
0.667 0.333 0.695
0.835 0.165 0.251
0.835 0.165 0.707
0.835 0.670 0.251
0.835 0.670 0.707
0.333 0.667 0.140
0.333 0.667 0.726
0.505 0.009 0.428
0.505 0.495 0.428
0.991 0.495 0.428
0.000 0.000 0.481
0.000 0.000 0.977
0.196 0.598 0.722
0.255 0.004 0.169
0.255 0.251 0.169
0.257 0.003 0.788
0.257 0.254 0.788
0.264 0.529 0.138
0.264 0.736 0.138
0.321 0.160 0.479
0.402 0.598 0.722
0.402 0.804 0.722
0.471 0.736 0.138
0.502 0.251 0.179
0.502 0.251 0.773
0.667 0.333 0.477
0.746 0.003 0.788
0.746 0.743 0.788
0.749 0.004 0.169
0.749 0.251 0.179
0.749 0.251 0.773
0.749 0.498 0.179
0.749 0.498 0.773
0.749 0.745 0.169
0.840 0.160 0.479
0.840 0.679 0.479
0.996 0.251 0.169
0.996 0.745 0.169
0.997 0.254 0.788
0.997 0.743 0.788
```

***

# Ba2CoC2O6F2
Calculated PXRD pattern, CuKα. Input: a cell relaxed with PBE+U.
Lines closer than 0.1° are merged.

Most intense lines, 2θ from 15° to 90°, low angle first:
- 2θ 18.03, I = 19
- 2θ 24.81, I = 88
- 2θ 26.41, I = 26
- 2θ 28.19, I = 100
- 2θ 32.16, I = 63
- 2θ 33.31, I = 39
- 2θ 42.99, I = 40
- 2θ 45.65, I = 36
- 2θ 47.72, I = 25
- 2θ 51.15, I = 25
- 2θ 54.34, I = 21
- 2θ 60.60, I = 19

Structure:
```
Ba2CoC2O6F2
1.0
6.749 0.000 0.000
0.000 11.704 0.000
0.000 0.000 9.088
Ba Co C O F
8 4 8 24 8
Direct
0.015 0.175 0.109
0.015 0.325 0.609
0.485 0.675 0.109
0.485 0.825 0.609
0.515 0.175 0.391
0.515 0.325 0.891
0.985 0.675 0.391
0.985 0.825 0.891
0.000 0.000 0.500
0.000 0.500 0.000
0.500 0.000 0.000
0.500 0.500 0.500
0.248 0.588 0.740
0.248 0.912 0.240
0.252 0.088 0.740
0.252 0.412 0.240
0.748 0.588 0.760
0.748 0.912 0.260
0.752 0.088 0.760
0.752 0.412 0.260
0.174 0.002 0.304
0.174 0.498 0.804
0.196 0.177 0.813
0.196 0.323 0.313
0.234 0.087 0.596
0.234 0.413 0.096
0.266 0.587 0.596
0.266 0.913 0.096
0.304 0.677 0.813
0.304 0.823 0.313
0.326 0.502 0.304
0.326 0.998 0.804
0.674 0.002 0.196
0.674 0.498 0.696
0.696 0.177 0.687
0.696 0.323 0.187
0.734 0.087 0.904
0.734 0.413 0.404
0.766 0.587 0.904
0.766 0.913 0.404
0.804 0.677 0.687
0.804 0.823 0.187
0.826 0.502 0.196
0.826 0.998 0.696
0.094 0.656 0.092
0.094 0.844 0.592
0.406 0.156 0.092
0.406 0.344 0.592
0.594 0.656 0.408
0.594 0.844 0.908
0.906 0.156 0.408
0.906 0.344 0.908
```

***

# BaCaCeFeO6
Calculated PXRD pattern, CuKα. Input: a cell relaxed with PBE+U.
Lines closer than 0.1° are merged.

Most intense lines, 2θ from 15° to 90°, low angle first:
- 2θ 18.43, I = 24
- 2θ 30.32, I = 100
- 2θ 35.72, I = 17
- 2θ 43.42, I = 34
- 2θ 47.54, I = 8
- 2θ 53.87, I = 39
- 2θ 57.43, I = 5
- 2θ 63.08, I = 21
- 2θ 66.33, I = 5
- 2θ 71.58, I = 17
- 2θ 79.68, I = 7
- 2θ 87.57, I = 21

Structure:
```
BaCaCeFeO6
1.0
0.000 4.169 4.169
4.169 0.000 4.169
4.169 4.169 0.000
Ba Ca Ce Fe O
1 1 1 1 6
Direct
0.000 0.000 0.000
0.500 0.500 0.500
0.750 0.750 0.750
0.250 0.250 0.250
0.013 0.013 0.487
0.013 0.487 0.013
0.013 0.487 0.487
0.487 0.013 0.013
0.487 0.013 0.487
0.487 0.487 0.013
```